Diffraction record for U4Ni3As8. The X-ray powder pattern is theoretical, not measured: it uses DFT lattice parameters and positions (PBE) and Cu Kα.

Atomic structure:
```
data_U4Ni3As8
_space_group_name_H-M_alt 'P -4 m 2'
_space_group_IT_number 115
_cell_length_a 3.971
_cell_length_b 3.971
_cell_length_c 17.819
_cell_angle_alpha 90.00
_cell_angle_beta 90.00
_cell_angle_gamma 90.00
loop_
_space_group_symop_operation_xyz
'x,y,z'
'y,-x,-z'
'-x,-y,z'
'-y,x,-z'
'-x,y,z'
'-y,-x,-z'
'x,-y,z'
'y,x,-z'
loop_
_atom_site_label
_atom_site_type_symbol
_atom_site_fract_x
_atom_site_fract_y
_atom_site_fract_z
_atom_site_occupancy
U1 U 0.000 0.500 0.117 1
U2 U 0.000 0.500 0.629 1
Ni1 Ni 0.000 0.000 0.000 1
Ni2 Ni 0.000 0.000 0.500 1
Ni3 Ni 0.500 0.500 0.500 1
As1 As 0.000 0.000 0.244 1
As2 As 0.000 0.500 0.419 1
As3 As 0.000 0.500 0.927 1
As4 As 0.500 0.500 0.244 1
```

Largest 10 diffraction maxima, low angle first, 2θ from 10° to 90°:
| d (Å) | Rel. int. | h k l |
| --- | --- | --- |
| 3.627 | 40 | 1 0 2 |
| 2.808 | 13 | 1 1 0 |
| 2.376 | 100 | 1 1 4 |
| 1.985 | 27 | 2 0 0 |
| 1.741 | 11 | 2 1 2 |
| 1.626 | 13 | 1 0 10 |
| 1.524 | 15 | 2 1 6 |
| 1.404 | 10 | 2 2 0 |
| 1.258 | 11 | 2 1 10 |
| 1.209 | 21 | 3 1 4 |


Diffraction record for U3Ni7As4. The X-ray powder pattern is theoretical, not measured: it uses DFT lattice parameters and positions (PBE) and Cu Kα.

Atomic structure:
```
data_U3Ni7As4
_space_group_name_H-M_alt 'C 1 2/m 1'
_space_group_IT_number 12
_cell_length_a 14.726
_cell_length_b 4.053
_cell_length_c 8.787
_cell_angle_alpha 90.00
_cell_angle_beta 125.42
_cell_angle_gamma 90.00
loop_
_space_group_symop_operation_xyz
'x,y,z'
'-x,-y,-z'
'-x,y,-z'
'x,-y,z'
'x+1/2,y+1/2,z'
'-x+1/2,-y+1/2,-z'
'-x+1/2,y+1/2,-z'
'x+1/2,-y+1/2,z'
loop_
_atom_site_label
_atom_site_type_symbol
_atom_site_fract_x
_atom_site_fract_y
_atom_site_fract_z
_atom_site_occupancy
U1 U 0.000 0.000 0.000 1
U2 U 0.190 0.500 0.696 1
Ni1 Ni 0.000 0.000 0.500 1
Ni2 Ni 0.002 0.500 0.694 1
Ni3 Ni 0.141 0.000 0.859 1
Ni4 Ni 0.178 0.500 0.323 1
As1 As 0.123 0.000 0.402 1
As2 As 0.157 0.500 0.029 1
```

Largest 10 diffraction maxima, low angle first, 2θ from 10° to 90°:
| d (Å) | Rel. int. | h k l |
| --- | --- | --- |
| 4.393 | 14 | 2 0 -2 |
| 3.678 | 41 | 1 1 -1 |
| 2.847 | 36 | 3 1 0 |
| 2.406 | 48 | 1 1 2 |
| 2.387 | 20 | 0 0 3 |
| 2.373 | 100 | 5 1 -2 |
| 2.338 | 20 | 6 0 -3 |
| 2.196 | 16 | 4 0 -4 |
| 2.027 | 36 | 0 2 0 |
| 2.000 | 18 | 6 0 0 |


Diffraction record for UNi4As2. The X-ray powder pattern is theoretical, not measured: it uses DFT lattice parameters and positions (PBE) and Cu Kα.

Atomic structure:
```
data_UNi4As2
_space_group_name_H-M_alt 'P 42/m n m'
_space_group_IT_number 136
_space_group_name_Hall '-P 4n 2n'
_cell_length_a 7.203
_cell_length_b 7.203
_cell_length_c 3.833
_cell_angle_alpha 90.00
_cell_angle_beta 90.00
_cell_angle_gamma 90.00
loop_
_atom_site_label
_atom_site_type_symbol
_atom_site_fract_x
_atom_site_fract_y
_atom_site_fract_z
_atom_site_occupancy
U1 U 0.000 0.000 0.000 1
Ni1 Ni 0.093 0.349 0.500 1
As1 As 0.216 0.784 0.500 1
```

Largest 10 diffraction maxima, low angle first, 2θ from 10° to 90°:
| d (Å) | Rel. int. | h k l |
| --- | --- | --- |
| 5.093 | 15 | 1 1 0 |
| 3.383 | 28 | 1 0 1 |
| 2.547 | 28 | 2 2 0 |
| 2.466 | 100 | 2 1 1 |
| 2.278 | 41 | 3 1 0 |
| 2.121 | 20 | 2 2 1 |
| 1.958 | 29 | 3 1 1 |
| 1.916 | 23 | 0 0 2 |
| 1.466 | 20 | 3 1 2 |
| 1.348 | 22 | 4 3 1 |


Diffraction record for VNi9As2. The X-ray powder pattern is theoretical, not measured: it uses DFT lattice parameters and positions (PBE) and Cu Kα.

Atomic structure:
```
data_VNi9As2
_space_group_name_H-M_alt 'P 4/m m m'
_space_group_IT_number 123
_space_group_name_Hall '-P 4 2'
_cell_length_a 3.573
_cell_length_b 3.573
_cell_length_c 10.814
_cell_angle_alpha 90.00
_cell_angle_beta 90.00
_cell_angle_gamma 90.00
loop_
_atom_site_label
_atom_site_type_symbol
_atom_site_fract_x
_atom_site_fract_y
_atom_site_fract_z
_atom_site_occupancy
V1 V 0.000 0.000 0.000 1
Ni1 Ni 0.000 0.500 0.161 1
Ni2 Ni 0.000 0.500 0.500 1
Ni3 Ni 0.500 0.500 0.000 1
Ni4 Ni 0.500 0.500 0.331 1
As1 As 0.000 0.000 0.335 1
```

Largest 6 diffraction maxima, low angle first, 2θ from 10° to 90°:
| d (Å) | Rel. int. | h k l |
| --- | --- | --- |
| 3.393 | 1 | 1 0 1 |
| 2.069 | 100 | 1 1 3 |
| 1.802 | 16 | 0 0 6 |
| 1.787 | 31 | 2 0 0 |
| 1.269 | 18 | 2 0 6 |
| 1.263 | 9 | 2 2 0 |


Diffraction record for NiAs2W. The X-ray powder pattern is theoretical, not measured: it uses DFT lattice parameters and positions (PBE) and Cu Kα.

Atomic structure:
```
data_NiAs2W
_space_group_name_H-M_alt 'P 1 m 1'
_space_group_IT_number 6
_cell_length_a 3.083
_cell_length_b 4.358
_cell_length_c 4.732
_cell_angle_alpha 90.00
_cell_angle_beta 100.18
_cell_angle_gamma 90.00
loop_
_space_group_symop_operation_xyz
'x,y,z'
'x,-y,z'
loop_
_atom_site_label
_atom_site_type_symbol
_atom_site_fract_x
_atom_site_fract_y
_atom_site_fract_z
_atom_site_occupancy
Ni1 Ni 0.000 0.000 0.000 1
As1 As 0.194 0.000 0.497 1
As2 As 0.787 0.500 0.825 1
W1 W 0.452 0.500 0.264 1
```

Largest 10 diffraction maxima, low angle first, 2θ from 10° to 90°:
| d (Å) | Rel. int. | h k l |
| --- | --- | --- |
| 4.657 | 38 | 0 0 1 |
| 4.358 | 34 | 0 1 0 |
| 3.182 | 31 | 0 1 1 |
| 2.777 | 33 | 1 0 -1 |
| 2.490 | 86 | 1 1 0 |
| 2.359 | 49 | 1 0 1 |
| 2.342 | 63 | 1 1 -1 |
| 2.179 | 67 | 0 2 0 |
| 2.054 | 100 | 0 1 2 |
| 2.029 | 31 | 1 0 -2 |


Diffraction record for Y2Ni2As. The X-ray powder pattern is theoretical, not measured: it uses DFT lattice parameters and positions (PBE) and Cu Kα.

Atomic structure:
```
data_Y2Ni2As
_space_group_name_H-M_alt 'P 4/m b m'
_space_group_IT_number 127
_space_group_name_Hall '-P 4 2ab'
_cell_length_a 6.968
_cell_length_b 6.968
_cell_length_c 3.868
_cell_angle_alpha 90.00
_cell_angle_beta 90.00
_cell_angle_gamma 90.00
loop_
_atom_site_label
_atom_site_type_symbol
_atom_site_fract_x
_atom_site_fract_y
_atom_site_fract_z
_atom_site_occupancy
Y1 Y 0.181 0.319 0.000 1
Ni1 Ni 0.120 0.620 0.500 1
As1 As 0.000 0.000 0.500 1
```

Largest 10 diffraction maxima, low angle first, 2θ from 10° to 90°:
| d (Å) | Rel. int. | h k l |
| --- | --- | --- |
| 2.589 | 54 | 2 0 1 |
| 2.464 | 14 | 2 2 0 |
| 2.427 | 100 | 2 1 1 |
| 2.204 | 36 | 3 1 0 |
| 1.934 | 31 | 0 0 2 |
| 1.690 | 11 | 4 1 0 |
| 1.549 | 12 | 4 1 1 |
| 1.454 | 18 | 3 1 2 |
| 1.289 | 13 | 5 1 1 |
| 1.191 | 9 | 2 1 3 |


Diffraction record for Y5Zr3Ni16As12. The X-ray powder pattern is theoretical, not measured: it uses DFT lattice parameters and positions (PBE) and Cu Kα.

Atomic structure:
```
data_Y5Zr3Ni16As12
_space_group_name_H-M_alt 'P -6 2 m'
_space_group_IT_number 189
_space_group_name_Hall 'P -6 -2'
_cell_length_a 12.7834
_cell_length_b 12.7834
_cell_length_c 3.9400
_cell_angle_alpha 90.00
_cell_angle_beta 90.00
_cell_angle_gamma 120.00
loop_
_atom_site_label
_atom_site_type_symbol
_atom_site_fract_x
_atom_site_fract_y
_atom_site_fract_z
_atom_site_occupancy
Y1 Y 0.0000 0.8151 0.0000 1
Y2 Y 0.3333 0.6667 0.5000 1
Zr1 Zr 0.0000 0.4352 0.5000 1
Ni1 Ni 0.0000 0.0000 0.5000 1
Ni2 Ni 0.0000 0.2757 0.0000 1
Ni3 Ni 0.1207 0.6368 0.0000 1
Ni4 Ni 0.1844 0.3770 0.5000 1
As1 As 0.0000 0.1781 0.5000 1
As2 As 0.0000 0.6428 0.5000 1
As3 As 0.1727 0.4783 0.0000 1
```

Largest 10 diffraction maxima, low angle first, 2θ from 10° to 90°:
| d (Å) | Rel. int. | h k l |
| --- | --- | --- |
| 2.693 | 22 | 3 0 1 |
| 2.482 | 100 | 2 2 1 |
| 2.421 | 89 | 3 1 1 |
| 2.060 | 22 | 4 1 1 |
| 1.988 | 21 | 5 1 0 |
| 1.970 | 46 | 0 0 2 |
| 1.930 | 30 | 5 0 1 |
| 1.845 | 34 | 6 0 0 |
| 1.652 | 19 | 4 3 1 |
| 1.347 | 22 | 6 0 2 |


Diffraction record for Yb10Ni28As19. The X-ray powder pattern is theoretical, not measured: it uses DFT lattice parameters and positions (PBE) and Cu Kα.

Atomic structure:
```
data_Yb10Ni28As19
_space_group_name_H-M_alt 'P -6'
_space_group_IT_number 174
_cell_length_a 16.0961
_cell_length_b 16.0961
_cell_length_c 3.8964
_cell_angle_alpha 90.00
_cell_angle_beta 90.00
_cell_angle_gamma 120.00
loop_
_space_group_symop_operation_xyz
'x,y,z'
'-x+y,-x,-z'
'-y,x-y,z'
'x,y,-z'
'-x+y,-x,z'
'-y,x-y,-z'
loop_
_atom_site_label
_atom_site_type_symbol
_atom_site_fract_x
_atom_site_fract_y
_atom_site_fract_z
_atom_site_occupancy
Yb1 Yb 0.0000 0.0000 0.0000 1
Yb2 Yb 0.0627 0.6972 0.5000 1
Yb3 Yb 0.1825 0.5335 0.5000 1
Yb4 Yb 0.5175 0.1956 0.0000 1
Ni1 Ni 0.0202 0.3839 0.0000 1
Ni2 Ni 0.0824 0.3118 0.5000 1
Ni3 Ni 0.0933 0.8705 0.0000 1
Ni4 Ni 0.1717 0.1322 0.5000 1
Ni5 Ni 0.1955 0.6779 0.0000 1
Ni6 Ni 0.2465 0.0512 0.0000 1
Ni7 Ni 0.3623 0.2094 0.5000 1
Ni8 Ni 0.4406 0.3429 0.0000 1
Ni9 Ni 0.5040 0.0406 0.5000 1
Ni10 Ni 0.6667 0.3333 0.5000 1
As1 As 0.0326 0.1499 0.5000 1
As2 As 0.0443 0.5443 0.0000 1
As3 As 0.1717 0.3874 0.0000 1
As4 As 0.2739 0.2117 0.0000 1
As5 As 0.3333 0.6667 0.0000 1
As6 As 0.3700 0.0682 0.5000 1
As7 As 0.5259 0.3423 0.5000 1
```

Largest 10 diffraction maxima, low angle first, 2θ from 10° to 90°:
| d (Å) | Rel. int. | h k l |
| --- | --- | --- |
| 2.744 | 22 | 3 1 1 |
| 2.472 | 100 | 3 2 1 |
| 2.398 | 13 | 4 1 1 |
| 2.323 | 11 | 6 0 0 |
| 1.992 | 10 | 7 0 0 |
| 1.948 | 26 | 0 0 2 |
| 1.846 | 25 | 1 7 0 |
| 1.623 | 15 | 5 4 1 |
| 1.340 | 17 | 1 7 2 |
| 1.203 | 10 | 3 2 3 |


Q: Number 1 is which compound?
A: U4Ni3As8